For Mn4SiO7, a PBE+U-relaxed structure gives the computed PXRD pattern in this record (Cu Kα X-rays).

Structure:
abc: 8.148 8.148 4.960
angles: 90.00 90.00 120.00
Fractional positions:
Mn 0.000 0.000 0.000
Mn 0.000 0.000 0.500
Mn 0.113 0.704 0.008
Mn 0.296 0.409 0.008
Mn 0.409 0.113 0.508
Mn 0.591 0.887 0.008
Mn 0.704 0.591 0.508
Mn 0.887 0.296 0.508
Si 0.333 0.667 0.573
Si 0.667 0.333 0.073
O 0.052 0.205 0.250
O 0.130 0.507 0.712
O 0.153 0.948 0.250
O 0.205 0.153 0.750
O 0.333 0.667 0.241
O 0.377 0.870 0.712
O 0.493 0.623 0.712
O 0.507 0.377 0.212
O 0.623 0.130 0.212
O 0.667 0.333 0.741
O 0.795 0.847 0.250
O 0.847 0.052 0.750
O 0.870 0.493 0.212
O 0.948 0.795 0.750

The 6 most intense peaks (10 to 90 degrees two-theta), by angle:
| two_theta | intensity | h k l |
| --- | --- | --- |
| 28.3 | 879 | 1 1 1 |
| 31.1 | 663 | 2 0 1 |
| 33.6 | 582 | 2 1 0 |
| 38.3 | 675 | 1 2 1 |
| 50.2 | 1000 | 2 1 2 |
| 60.1 | 604 | 1 4 0 |